# SmTlMo2O8
Theoretical X-ray powder pattern, Cu Kα, 1.54184 Å. Input: a DFT-relaxed cell (PBE+U, Alexandria).

The 10 most intense peaks (2θ from 15° to 90°), sorted by position:
(1 1 2), 2θ 27.11, d 3.289, intensity 100
(2 0 0), 2θ 28.02, d 3.184, intensity 38
(2 2 0), 2θ 40.04, d 2.252, intensity 16
(2 0 4), 2θ 47.34, d 1.920, intensity 24
(3 1 2), 2θ 49.03, d 1.858, intensity 37
(2 2 4), 2θ 55.91, d 1.644, intensity 14
(1 1 6), 2θ 61.32, d 1.512, intensity 10
(4 2 0), 2θ 65.55, d 1.424, intensity 9
(3 1 6), 2θ 75.79, d 1.255, intensity 11
(5 1 2), 2θ 79.24, d 1.209, intensity 10

Atomic structure:
a = 6.3685 Å, b = 6.3685 Å, c = 9.6300 Å
α = 90.00°, β = 90.00°, γ = 90.00°
Space group P4/nnc (No. 126, origin choice 2)
Symmetry-distinct sites (fractional):
Sm  0.2500  0.2500  0.2500 (multiplicity 2)
Tl  0.2500  0.2500  0.7500 (multiplicity 2)
Mo  0.2500  0.7500  0.0000 (multiplicity 4)
O  0.0518  0.6399  0.6116 (multiplicity 16)